Theoretical powder diffraction line list of NbNiSbO6 for Cu Kα (weighted mean of Kα1 and Kα2), from a GGA+U-relaxed structure.
Neutral-atom scattering factors, no anomalous dispersion.

Peak list (12 most intense, 2θ from 15° to 90°, by angle)
2θ 19.5, intensity 9, hkl 1 0 0
2θ 19.7, intensity 33, hkl 0 0 2
2θ 27.9, intensity 100, hkl 1 0 2
2θ 34.1, intensity 52, hkl 1 1 0
2θ 39.7, intensity 36, hkl 1 1 2
2θ 44.6, intensity 27, hkl 2 0 2
2θ 53.6, intensity 54, hkl 1 1 4
2θ 57.4, intensity 25, hkl 2 1 2
2θ 61.1, intensity 22, hkl 3 0 0
2θ 65.5, intensity 8, hkl 1 0 6
2θ 78.8, intensity 10, hkl 4 -1 2
2θ 85.6, intensity 13, hkl 4 -2 4

Structure:
```
data_NbNiSbO6
_cell_length_a 5.2524
_cell_length_b 5.2524
_cell_length_c 9.0038
_cell_angle_alpha 90.00
_cell_angle_beta 90.00
_cell_angle_gamma 120.00
_space_group_name_H-M_alt 'P -3 1 c'
_space_group_IT_number 163
_space_group_name_Hall '-P 3 2c'
loop_
_atom_site_label
_atom_site_type_symbol
_atom_site_fract_x
_atom_site_fract_y
_atom_site_fract_z
_atom_site_occupancy
Nb1 Nb 0.3333 0.6667 0.2500 1
Ni1 Ni 0.0000 0.0000 0.0000 1
Sb1 Sb 0.3333 0.6667 0.7500 1
O1 O 0.0016 0.3494 0.6310 1
```